For Mn2Sn2Rh3, a cell relaxed with GGA-PBE gives the simulated powder X-ray diffraction pattern in this record (Cu Ka).

Peak list (10 most intense, 5 to 70 degrees two-theta, low angle first)
6.857 Å, intensity 23, (0 0 1); 3.428 Å, intensity 12, (0 0 2); 2.827 Å, intensity 25, (1 1 -2); 2.345 Å, intensity 16, (1 1 2); 2.247 Å, intensity 100, (0 2 0); 2.145 Å, intensity 61, (2 0 2); 2.135 Å, intensity 8, (3 1 0); 1.879 Å, intensity 14, (3 1 1); 1.759 Å, intensity 7, (4 0 -3); 1.552 Å, intensity 22, (2 2 2)

Crystal structure
Cell: 7.776 4.498 7.334 Å, 90.00 110.78 90.00°
Space group C2/m (No. 12)
Inequivalent atoms, fractional coordinates:
Mn: 0.131 0.000 0.393 (multiplicity 4)
Sn: 0.107 0.500 0.820 (multiplicity 4)
Rh: 0.000 0.000 0.000 (multiplicity 2)
Rh: 0.245 0.500 0.234 (multiplicity 4)


For RbAc2TeO6, a cell relaxed with GGA-PBE gives the simulated powder X-ray diffraction pattern in this record (Cu Ka).

Peak list (10 most intense, 5 to 70 degrees two-theta, low angle first)
4.574 Å, intensity 50, (0 1 2); 3.306 Å, intensity 90, (1 0 4); 3.167 Å, intensity 100, (1 1 0); 2.287 Å, intensity 36, (0 2 4); 2.082 Å, intensity 35, (1 1 6); 1.854 Å, intensity 39, (2 1 4); 1.828 Å, intensity 28, (3 0 0); 1.592 Å, intensity 13, (2 -1 9); 1.584 Å, intensity 14, (2 2 0); 1.428 Å, intensity 16, (4 -3 4)

Crystal structure
Cell: 6.3341 6.3341 16.5730 Å, 90.00 90.00 120.00°
Space group R3 (No. 146, hexagonal axes)
Inequivalent atoms, fractional coordinates:
Rb: 0.0000 0.0000 0.0000 (multiplicity 3)
Ac: 0.0000 0.0000 0.2278 (multiplicity 3)
Ac: 0.0000 0.0000 0.7453 (multiplicity 3)
Te: 0.0000 0.0000 0.5399 (multiplicity 3)
O: 0.0330 0.3592 0.1430 (multiplicity 9)
O: 0.1092 0.7076 0.2855 (multiplicity 9)


For Dy2Si9B36C, a cell relaxed with GGA-PBE gives the simulated powder X-ray diffraction pattern in this record (Cu Ka).

Peak list (10 most intense, 5 to 70 degrees two-theta, low angle first)
7.721 Å, intensity 100, (0 0 1); 6.024 Å, intensity 57, (2 0 0); 5.058 Å, intensity 45, (0 2 0); 3.870 Å, intensity 69, (2 2 0); 3.735 Å, intensity 45, (2 0 -2); 3.728 Å, intensity 49, (2 2 -1); 3.007 Å, intensity 68, (4 0 0); 2.585 Å, intensity 40, (4 0 1); 2.527 Å, intensity 51, (2 2 2); 2.300 Å, intensity 51, (2 4 -1)

Crystal structure
Cell: 12.503 10.117 8.010 Å, 90.00 105.47 90.00°
Space group Cm (No. 8)
Inequivalent atoms, fractional coordinates:
Dy: 0.000 0.249 0.000 (multiplicity 4)
Si: 0.012 0.000 0.836 (multiplicity 2)
Si: 0.177 0.000 0.073 (multiplicity 2)
Si: 0.211 0.195 0.246 (multiplicity 4)
Si: 0.289 0.194 0.754 (multiplicity 4)
Si: 0.295 0.500 0.456 (multiplicity 2)
Si: 0.318 0.000 0.929 (multiplicity 2)
Si: 0.486 0.000 0.159 (multiplicity 2)
B: 0.014 0.157 0.675 (multiplicity 4)
B: 0.038 0.087 0.480 (multiplicity 4)
B: 0.053 0.325 0.700 (multiplicity 4)
B: 0.092 0.221 0.377 (multiplicity 4)
B: 0.103 0.371 0.517 (multiplicity 4)
B: 0.124 0.500 0.054 (multiplicity 2)
B: 0.132 0.207 0.606 (multiplicity 4)
B: 0.139 0.410 0.871 (multiplicity 4)
B: 0.214 0.355 0.080 (multiplicity 4)
B: 0.232 0.500 0.774 (multiplicity 2)
B: 0.256 0.500 0.204 (multiplicity 2)
B: 0.283 0.357 0.909 (multiplicity 4)
B: 0.357 0.410 0.125 (multiplicity 4)
B: 0.370 0.200 0.394 (multiplicity 4)
B: 0.371 0.500 0.934 (multiplicity 2)
B: 0.402 0.355 0.494 (multiplicity 4)
B: 0.410 0.214 0.626 (multiplicity 4)
B: 0.446 0.322 0.303 (multiplicity 4)
B: 0.462 0.084 0.523 (multiplicity 4)
B: 0.489 0.152 0.328 (multiplicity 4)
C: 0.183 0.500 0.565 (multiplicity 2)


For Tl5BrCl4, a cell relaxed with GGA-PBE gives the simulated powder X-ray diffraction pattern in this record (Cu Ka).

Peak list (10 most intense, 5 to 70 degrees two-theta, low angle first)
3.782 Å, intensity 73, (0 1 5); 3.275 Å, intensity 100, (1 0 10); 2.566 Å, intensity 1, (0 1 17); 2.316 Å, intensity 77, (1 1 0); 1.975 Å, intensity 39, (2 0 5); 1.891 Å, intensity 27, (0 2 10); 1.638 Å, intensity 13, (2 0 20); 1.556 Å, intensity 1, (1 1 27); 1.503 Å, intensity 17, (1 2 5); 1.465 Å, intensity 35, (2 1 10)

Crystal structure
Cell: 4.6309 4.6309 56.7517 Å, 90.00 90.00 120.00°
Space group R-3m (No. 166, hexagonal axes)
Inequivalent atoms, fractional coordinates:
Tl: 0.0000 0.0000 0.0000 (multiplicity 3)
Tl: 0.0000 0.0000 0.2023 (multiplicity 6)
Tl: 0.0000 0.0000 0.3989 (multiplicity 6)
Br: 0.0000 0.0000 0.5000 (multiplicity 3)
Cl: 0.0000 0.0000 0.0984 (multiplicity 6)
Cl: 0.0000 0.0000 0.3005 (multiplicity 6)


For CsBe6As4, a cell relaxed with GGA-PBE gives the simulated powder X-ray diffraction pattern in this record (Cu Ka).

Peak list (10 most intense, 5 to 70 degrees two-theta, low angle first)
3.091 Å, intensity 100, (1 1 5); 2.753 Å, intensity 15, (0 2 0); 2.733 Å, intensity 15, (0 0 10); 2.557 Å, intensity 13, (2 0 0); 1.940 Å, intensity 14, (0 2 10); 1.874 Å, intensity 14, (2 2 0); 1.867 Å, intensity 12, (2 0 10); 1.647 Å, intensity 15, (1 3 5); 1.638 Å, intensity 13, (1 1 15); 1.561 Å, intensity 13, (3 1 5)

Crystal structure
Cell: 5.115 5.507 27.325 Å, 90.00 90.00 90.00°
Space group Fmmm (No. 69)
Inequivalent atoms, fractional coordinates:
Cs: 0.000 0.000 0.000 (multiplicity 4)
Be: 0.250 0.250 0.138 (multiplicity 16)
Be: 0.250 0.250 0.250 (multiplicity 8)
As: 0.000 0.000 0.198 (multiplicity 8)
As: 0.000 0.000 0.407 (multiplicity 8)


For Dy2Ho4Se9, a cell relaxed with GGA-PBE gives the simulated powder X-ray diffraction pattern in this record (Cu Ka).

Peak list (10 most intense, 5 to 70 degrees two-theta, low angle first)
5.237 Å, intensity 42, (1 1 2); 3.828 Å, intensity 56, (1 1 -4); 3.590 Å, intensity 40, (2 1 0); 3.140 Å, intensity 55, (2 1 3); 2.619 Å, intensity 35, (0 2 -4); 2.405 Å, intensity 100, (1 2 6); 2.116 Å, intensity 33, (2 -1 4); 2.072 Å, intensity 61, (3 3 0); 1.855 Å, intensity 18, (1 0 10); 1.570 Å, intensity 26, (2 4 6)

Crystal structure
Cell: 7.177 7.179 19.435 Å, 90.00 89.97 60.03°
Space group P-1 (No. 2)
Inequivalent atoms, fractional coordinates:
Dy: 0.000 0.001 0.152 (multiplicity 2)
Dy: 0.001 0.998 0.348 (multiplicity 2)
Ho: 0.332 0.334 0.819 (multiplicity 2)
Ho: 0.333 0.333 0.014 (multiplicity 2)
Ho: 0.334 0.333 0.319 (multiplicity 2)
Ho: 0.334 0.333 0.514 (multiplicity 2)
Se: 0.001 0.306 0.250 (multiplicity 2)
Se: 0.028 0.333 0.917 (multiplicity 2)
Se: 0.028 0.637 0.417 (multiplicity 2)
Se: 0.306 0.000 0.750 (multiplicity 2)
Se: 0.306 0.693 0.250 (multiplicity 2)
Se: 0.335 0.637 0.917 (multiplicity 2)
Se: 0.336 0.027 0.417 (multiplicity 2)
Se: 0.361 0.666 0.583 (multiplicity 2)
Se: 0.364 0.972 0.083 (multiplicity 2)


For Cd2HPt5, a cell relaxed with GGA-PBE gives the simulated powder X-ray diffraction pattern in this record (Cu Ka).

Peak list (10 most intense, 5 to 70 degrees two-theta, low angle first)
4.632 Å, intensity 15, (1 0 1); 4.177 Å, intensity 10, (0 0 2); 2.783 Å, intensity 7, (2 0 0); 2.385 Å, intensity 6, (2 1 1); 2.316 Å, intensity 100, (2 0 2); 2.088 Å, intensity 18, (0 0 4); 1.968 Å, intensity 31, (2 2 0); 1.780 Å, intensity 4, (2 2 2); 1.432 Å, intensity 22, (2 2 4); 1.391 Å, intensity 11, (4 0 0)

Crystal structure
Cell: 5.566 5.566 8.354 Å, 90.00 90.00 90.00°
Space group I4mm (No. 107)
Inequivalent atoms, fractional coordinates:
Cd: 0.000 0.500 0.000 (multiplicity 4)
H: 0.000 0.000 0.276 (multiplicity 2)
Pt: 0.000 0.000 0.993 (multiplicity 2)
Pt: 0.249 0.249 0.749 (multiplicity 8)


For SmMgNi2H8, a cell relaxed with GGA-PBE gives the simulated powder X-ray diffraction pattern in this record (Cu Ka).

Peak list (10 most intense, 5 to 70 degrees two-theta, low angle first)
3.902 Å, intensity 57, (1 0 1); 2.884 Å, intensity 100, (1 0 4); 2.557 Å, intensity 42, (0 1 5); 2.318 Å, intensity 64, (1 1 0); 1.842 Å, intensity 23, (0 0 9); 1.807 Å, intensity 25, (0 2 4); 1.717 Å, intensity 13, (2 0 5); 1.442 Å, intensity 26, (1 1 9); 1.425 Å, intensity 22, (3 -1 4); 1.380 Å, intensity 12, (1 2 5)

Crystal structure
Cell: 4.6356 4.6356 16.5836 Å, 90.00 90.00 120.00°
Space group R-3 (No. 148, hexagonal axes)
Inequivalent atoms, fractional coordinates:
Sm: 0.0000 0.0000 0.0000 (multiplicity 3)
Mg: 0.0000 0.0000 0.5000 (multiplicity 3)
Ni: 0.0000 0.0000 0.2246 (multiplicity 6)
H: 0.0000 0.0000 0.3166 (multiplicity 6)
H: 0.0145 0.7050 0.8932 (multiplicity 18)


For LaPr5Sm2Ho, a cell relaxed with GGA-PBE gives the simulated powder X-ray diffraction pattern in this record (Cu Ka).

Peak list (10 most intense, 5 to 70 degrees two-theta, low angle first)
3.223 Å, intensity 52, (2 2 0); 3.202 Å, intensity 52, (2 1 3); 2.954 Å, intensity 100, (2 0 4); 2.883 Å, intensity 13, (3 1 0); 2.702 Å, intensity 13, (3 1 2); 2.495 Å, intensity 20, (3 2 1); 2.469 Å, intensity 13, (2 1 5); 2.188 Å, intensity 24, (4 0 2); 1.804 Å, intensity 20, (4 2 4); 1.662 Å, intensity 13, (2 2 8)

Crystal structure
Cell: 9.115 9.115 15.517 Å, 90.00 90.00 90.00°
Space group I4/mcm (No. 140)
Inequivalent atoms, fractional coordinates:
La: 0.000 0.000 0.250 (multiplicity 4)
Pr: 0.000 0.000 0.000 (multiplicity 4)
Pr: 0.207 0.293 0.137 (multiplicity 16)
Sm: 0.114 0.386 0.500 (multiplicity 8)
Ho: 0.000 0.500 0.250 (multiplicity 4)